Entry 1:
Structure and calculated PXRD pattern of Tb2Tm15Sc2 (a structure optimized by DFT (PBE); a wavelength of 1.5418 Å).

Principal peaks in the range 10° ≤ 2θ ≤ 80°, sorted by position:
hkl	Position (°2θ)	I/Imax
1 1 0	16.2	331
0 2 4	28.0	187
0 0 6	31.1	347
2 0 5	32.1	398
0 3 3	32.3	1000
2 2 0	32.7	417
2 2 3	36.3	643
6 0 0	58.3	201

Structural model:
Cell: 10.9601 10.9601 17.2313 Å, 90.00 90.00 120.00°
Space group R-3m (No. 166, hexagonal axes)
Symmetry-distinct sites (fractional):
Tb  0.0000  0.0000  0.1775 (multiplicity 6)
Tm  0.0000  0.2961  0.5000 (multiplicity 18)
Tm  0.0000  0.5000  0.0000 (multiplicity 9)
Tm  0.0055  0.5028  0.6384 (multiplicity 18)
Sc  0.0000  0.0000  0.4082 (multiplicity 6)



Entry 2:
Structure and calculated PXRD pattern of Tb14TmSc (a structure optimized by DFT (PBE); a wavelength of 1.5418 Å).

Principal peaks in the range 10° ≤ 2θ ≤ 80°, sorted by position:
hkl	Position (°2θ)	I/Imax
2 0 2	31.0	1000
2 2 0	35.8	338
0 0 4	36.0	167
4 0 0	51.7	358
4 2 2	61.4	284
2 0 6	61.6	140
4 0 4	64.5	122
4 4 0	76.0	38

Structural model:
Cell: 7.0848 7.0848 9.9876 Å, 90.00 90.00 90.00°
Space group P4/mmm (No. 123)
Symmetry-distinct sites (fractional):
Tb  0.0000  0.0000  0.0000 (multiplicity 1)
Tb  0.0000  0.5000  0.0000 (multiplicity 2)
Tb  0.0000  0.5000  0.5000 (multiplicity 2)
Tb  0.2487  0.2487  0.2530 (multiplicity 8)
Tb  0.5000  0.5000  0.0000 (multiplicity 1)
Tm  0.5000  0.5000  0.5000 (multiplicity 1)
Sc  0.0000  0.0000  0.5000 (multiplicity 1)



Entry 3:
Structure and calculated PXRD pattern of Tb4Tm4Sc3 (a structure optimized by DFT (PBE); a wavelength of 1.5418 Å).

Principal peaks in the range 10° ≤ 2θ ≤ 80°, sorted by position:
hkl	Position (°2θ)	I/Imax
0 1 2	18.0	118
1 0 -3	30.2	178
0 2 1	32.8	272
0 1 6	33.3	1000
1 2 -2	45.2	117
1 0 8	50.2	116
0 3 7	58.9	195
2 1 -5	63.7	137

Structural model:
Cell: 3.4736 5.4546 17.2699 Å, 80.93 89.99 89.99°
Space group P-1 (No. 2)
Symmetry-distinct sites (fractional):
Tb  0.0004  0.0974  0.3058 (multiplicity 2)
Tb  0.9997  0.2809  0.9379 (multiplicity 2)
Tm  0.0012  0.5449  0.4108 (multiplicity 2)
Tm  0.5001  0.1875  0.1254 (multiplicity 2)
Sc  0.4987  0.3696  0.7602 (multiplicity 2)
Sc  0.5000  0.0000  0.5000 (multiplicity 1)